Diffraction record for Tc3BiIr. The powder X-ray diffraction pattern is simulated, not measured: it uses a structure optimized by DFT (PBE) and Cu Kα.
Peak positions follow from Bragg's law for the DFT cell and can differ from measured ones.

Atomic structure:
a = 4.758 Å, b = 4.758 Å, c = 4.758 Å
α = 90.00°, β = 90.00°, γ = 90.00°
Fractional positions:
1 Tc 0.000 0.000 0.500
2 Tc 0.000 0.500 0.000
3 Tc 0.500 0.000 0.000
4 Bi 0.500 0.500 0.500
5 Ir 0.000 0.000 0.000

The 12 most intense peaks (15° ≤ 2θ ≤ 90°), sorted by position:
2θ (°), I/Imax
18.65, 9
26.49, 89
32.60, 42
37.82, 100
46.77, 40
54.55, 69
61.64, 18
65.01, 17
68.29, 24
74.64, 21
80.80, 11
86.85, 11



Diffraction record for Pm4Ga12Tc. The powder X-ray diffraction pattern is simulated, not measured: it uses a structure optimized by DFT (PBE) and Cu Kα.
Peak positions follow from Bragg's law for the DFT cell and can differ from measured ones.

Atomic structure:
a = 7.590 Å, b = 7.590 Å, c = 7.590 Å
α = 109.47°, β = 109.47°, γ = 109.47°
Fractional positions:
1 Pm 0.000 0.000 0.500
2 Pm 0.000 0.500 0.000
3 Pm 0.500 0.000 0.000
4 Pm 0.500 0.500 0.500
5 Ga 0.000 0.290 0.290
6 Ga 0.000 0.710 0.710
7 Ga 0.250 0.500 0.750
8 Ga 0.250 0.750 0.500
9 Ga 0.290 0.000 0.290
10 Ga 0.290 0.290 0.000
11 Ga 0.500 0.250 0.750
12 Ga 0.500 0.750 0.250
13 Ga 0.710 0.000 0.710
14 Ga 0.710 0.710 0.000
15 Ga 0.750 0.250 0.500
16 Ga 0.750 0.500 0.250
17 Tc 0.000 0.000 0.000

The 12 most intense peaks (15° ≤ 2θ ≤ 90°), sorted by position:
2θ (°), I/Imax
28.81, 28
32.30, 6
35.48, 100
38.43, 9
41.20, 64
48.73, 7
51.05, 8
59.68, 39
67.60, 8
71.39, 31
75.10, 12
82.33, 7



Diffraction record for Th4OsPd3. The powder X-ray diffraction pattern is simulated, not measured: it uses a structure optimized by DFT (PBE) and Cu Kα.
Peak positions follow from Bragg's law for the DFT cell and can differ from measured ones.

Atomic structure:
a = 3.888 Å, b = 4.505 Å, c = 11.151 Å
α = 90.00°, β = 90.00°, γ = 90.00°
Fractional positions:
1 Th 0.000 0.000 0.000
2 Th 0.000 0.500 0.261
3 Th 0.500 0.000 0.475
4 Th 0.500 0.500 0.757
5 Os 0.500 0.000 0.219
6 Pd 0.000 0.000 0.717
7 Pd 0.000 0.500 0.536
8 Pd 0.500 0.500 0.026

The 12 most intense peaks (15° ≤ 2θ ≤ 90°), sorted by position:
2θ (°), I/Imax
25.42, 15
31.43, 100
32.11, 37
33.35, 19
39.03, 60
40.02, 28
46.72, 18
51.40, 13
52.20, 19
57.82, 15
63.17, 15
72.64, 15



Diffraction record for KNa2H6. The powder X-ray diffraction pattern is simulated, not measured: it uses a structure optimized by DFT (PBE) and Cu Kα.
Peak positions follow from Bragg's law for the DFT cell and can differ from measured ones.

Atomic structure:
a = 6.689 Å, b = 6.689 Å, c = 3.816 Å
α = 90.00°, β = 90.00°, γ = 115.69°
Fractional positions:
1 K 0.000 0.000 0.000
2 Na 0.369 0.631 0.500
3 Na 0.631 0.369 0.500
4 H 0.059 0.555 0.000
5 H 0.269 0.269 0.500
6 H 0.445 0.941 0.000
7 H 0.555 0.059 0.000
8 H 0.731 0.731 0.500
9 H 0.941 0.445 0.000

The 12 most intense peaks (15° ≤ 2θ ≤ 90°), sorted by position:
2θ (°), I/Imax
15.65, 21
25.01, 39
26.73, 62
27.67, 100
29.64, 11
38.04, 19
39.63, 27
41.85, 12
45.12, 14
45.72, 22
47.44, 28
55.48, 14



Diffraction record for Er2PdPt2. The powder X-ray diffraction pattern is simulated, not measured: it uses a structure optimized by DFT (PBE) and Cu Kα.
Peak positions follow from Bragg's law for the DFT cell and can differ from measured ones.

Atomic structure:
a = 5.641 Å, b = 5.641 Å, c = 7.733 Å
α = 105.36°, β = 105.36°, γ = 58.30°
Fractional positions:
1 Er 0.016 0.292 0.150
2 Er 0.292 0.016 0.650
3 Er 0.708 0.984 0.350
4 Er 0.984 0.708 0.850
5 Pd 0.250 0.750 0.250
6 Pd 0.750 0.250 0.750
7 Pt 0.247 0.497 0.508
8 Pt 0.497 0.247 0.008
9 Pt 0.503 0.753 0.992
10 Pt 0.753 0.503 0.492

The 12 most intense peaks (15° ≤ 2θ ≤ 90°), sorted by position:
2θ (°), I/Imax
32.99, 57
34.85, 17
35.23, 16
35.49, 30
38.04, 100
38.17, 48
38.35, 30
38.61, 72
38.73, 42
41.76, 39
58.40, 15
66.56, 22



Diffraction record for BaMg3Cd3. The powder X-ray diffraction pattern is simulated, not measured: it uses a structure optimized by DFT (PBE) and Cu Kα.
Peak positions follow from Bragg's law for the DFT cell and can differ from measured ones.

Atomic structure:
a = 9.057 Å, b = 9.057 Å, c = 5.709 Å
α = 90.00°, β = 90.00°, γ = 120.00°
Fractional positions:
1 Ba 0.333 0.667 0.250
2 Ba 0.667 0.333 0.750
3 Mg 0.115 0.884 0.750
4 Mg 0.116 0.231 0.750
5 Mg 0.231 0.115 0.250
6 Mg 0.769 0.885 0.750
7 Mg 0.884 0.769 0.250
8 Mg 0.885 0.116 0.250
9 Cd 0.095 0.547 0.750
10 Cd 0.452 0.905 0.750
11 Cd 0.453 0.548 0.750
12 Cd 0.547 0.452 0.250
13 Cd 0.548 0.095 0.250
14 Cd 0.905 0.453 0.250

The 12 most intense peaks (15° ≤ 2θ ≤ 90°), sorted by position:
2θ (°), I/Imax
22.67, 22
27.59, 23
30.15, 29
31.34, 45
33.40, 16
34.08, 100
37.85, 68
44.04, 20
57.55, 21
60.14, 16
61.42, 17
70.58, 22



Diffraction record for Mg5In2AgPt2. The powder X-ray diffraction pattern is simulated, not measured: it uses a structure optimized by DFT (PBE) and Cu Kα.
Peak positions follow from Bragg's law for the DFT cell and can differ from measured ones.

Atomic structure:
a = 10.254 Å, b = 10.254 Å, c = 3.847 Å
α = 90.00°, β = 90.00°, γ = 90.00°
Fractional positions:
1 Mg 0.000 0.500 0.000
2 Mg 0.073 0.202 0.000
3 Mg 0.202 0.927 0.000
4 Mg 0.298 0.427 0.000
5 Mg 0.427 0.702 0.000
6 Mg 0.500 0.000 0.000
7 Mg 0.573 0.298 0.000
8 Mg 0.702 0.573 0.000
9 Mg 0.798 0.073 0.000
10 Mg 0.927 0.798 0.000
11 In 0.168 0.668 0.500
12 In 0.332 0.168 0.500
13 In 0.668 0.832 0.500
14 In 0.832 0.332 0.500
15 Ag 0.000 0.000 0.500
16 Ag 0.500 0.500 0.500
17 Pt 0.130 0.370 0.500
18 Pt 0.370 0.870 0.500
19 Pt 0.630 0.130 0.500
20 Pt 0.870 0.630 0.500

The 12 most intense peaks (15° ≤ 2θ ≤ 90°), sorted by position:
2θ (°), I/Imax
19.36, 17
23.12, 59
27.51, 59
35.00, 14
36.23, 100
37.20, 15
39.40, 30
42.37, 23
47.26, 18
50.34, 13
55.55, 17
56.09, 16



Diffraction record for Ba2CeAu2S6. The powder X-ray diffraction pattern is simulated, not measured: it uses a structure optimized by DFT (PBE) and Cu Kα.
Peak positions follow from Bragg's law for the DFT cell and can differ from measured ones.

Atomic structure:
a = 7.408 Å, b = 7.408 Å, c = 8.306 Å
α = 116.94°, β = 116.94°, γ = 50.48°
Fractional positions:
1 Ba 0.216 0.216 0.209
2 Ba 0.784 0.784 0.791
3 Ce 0.000 0.000 0.500
4 Au 0.423 0.423 0.725
5 Au 0.577 0.577 0.275
6 S 0.171 0.681 0.186
7 S 0.224 0.224 0.602
8 S 0.319 0.829 0.814
9 S 0.681 0.171 0.186
10 S 0.776 0.776 0.398
11 S 0.829 0.319 0.814

The 12 most intense peaks (15° ≤ 2θ ≤ 90°), sorted by position:
2θ (°), I/Imax
24.06, 22
24.42, 100
24.77, 29
26.11, 77
28.25, 40
35.69, 19
37.11, 19
37.44, 37
40.42, 16
41.46, 25
47.75, 19
48.72, 20